[1]
Gd3TaO7: theoretical powder diffractogram (Cu Ka), based on a GGA-PBE-relaxed structure.
Intensities are scaled so that the largest is 100.

Structure:
Cell: 7.570 10.689 7.590 Å, 90.00 90.00 90.00°
Space group C222_1 (No. 20)
Unique sites:
Gd (0.019, 0.000, 0.000) (multiplicity 4)
Gd (0.233, 0.267, 0.753) (multiplicity 8)
Ta (0.001, 0.500, 0.000) (multiplicity 4)
O (0.000, 0.129, 0.250) (multiplicity 4)
O (0.000, 0.138, 0.750) (multiplicity 4)
O (0.000, 0.437, 0.750) (multiplicity 4)
O (0.187, 0.374, 0.036) (multiplicity 8)
O (0.200, 0.377, 0.472) (multiplicity 8)

The 12 most intense peaks (10° ≤ 2θ ≤ 90°), in order of rising 2θ:
| 2theta | Rel. int. |
| --- | --- |
| 28.88 | 100 |
| 33.47 | 36 |
| 47.94 | 8 |
| 48.08 | 35 |
| 57.00 | 28 |
| 57.13 | 12 |
| 59.77 | 5 |
| 59.89 | 5 |
| 77.78 | 12 |
| 80.14 | 6 |
| 89.56 | 5 |
| 89.76 | 5 |

---

[2]
GdTaO4: theoretical powder diffractogram (Cu Ka), based on a GGA-PBE-relaxed structure.
Intensities are scaled so that the largest is 100.

Structure:
Cell: 7.106 11.209 5.129 Å, 90.00 130.35 90.00°
Space group C2/c (No. 15)
Unique sites:
Gd (0.000, 0.132, 0.250) (multiplicity 4)
Ta (0.000, 0.400, 0.750) (multiplicity 4)
O (0.155, 0.292, 0.660) (multiplicity 8)
O (0.241, 0.468, 0.208) (multiplicity 8)

The 12 most intense peaks (10° ≤ 2θ ≤ 90°), in order of rising 2θ:
| 2theta | Rel. int. |
| --- | --- |
| 27.83 | 100 |
| 29.81 | 82 |
| 31.94 | 22 |
| 33.08 | 25 |
| 35.16 | 19 |
| 46.46 | 16 |
| 46.64 | 24 |
| 48.23 | 23 |
| 51.53 | 12 |
| 54.77 | 16 |
| 57.54 | 22 |
| 58.21 | 12 |

---

[3]
Gd3TaO7: theoretical powder diffractogram (Cu Ka), based on a GGA-PBE-relaxed structure.
Intensities are scaled so that the largest is 100.

Structure:
Cell: 6.460 6.568 7.671 Å, 73.21 89.78 82.76°
Space group P-1 (No. 2)
Unique sites:
Gd (0.045, 0.008, 0.250) (multiplicity 2)
Gd (0.236, 0.543, 0.109) (multiplicity 2)
Gd (0.240, 0.536, 0.616) (multiplicity 2)
Ta (0.500, 0.000, 0.000) (multiplicity 1)
Ta (0.500, 0.000, 0.500) (multiplicity 1)
O (0.044, 0.637, 0.842) (multiplicity 2)
O (0.059, 0.651, 0.334) (multiplicity 2)
O (0.211, 0.931, 0.549) (multiplicity 2)
O (0.211, 0.933, 0.983) (multiplicity 2)
O (0.416, 0.046, 0.238) (multiplicity 2)
O (0.424, 0.318, 0.452) (multiplicity 2)
O (0.428, 0.325, 0.893) (multiplicity 2)

The 12 most intense peaks (10° ≤ 2θ ≤ 90°), in order of rising 2θ:
| 2theta | Rel. int. |
| --- | --- |
| 28.44 | 51 |
| 28.61 | 100 |
| 29.65 | 46 |
| 33.07 | 23 |
| 33.59 | 47 |
| 47.08 | 13 |
| 47.29 | 14 |
| 47.41 | 17 |
| 48.43 | 13 |
| 48.60 | 13 |
| 56.21 | 13 |
| 56.43 | 14 |

---

[4]
GdTa7O19: theoretical powder diffractogram (Cu Ka), based on a GGA-PBE-relaxed structure.
Intensities are scaled so that the largest is 100.

Structure:
Cell: 6.2697 6.2697 20.1342 Å, 90.00 90.00 120.00°
Space group P-6c2 (No. 188)
Unique sites:
Gd (0.0000, 0.0000, 0.0000) (multiplicity 2)
Ta (0.0270, 0.3336, 0.1556) (multiplicity 12)
Ta (0.3333, 0.6667, 0.0000) (multiplicity 2)
O (0.0000, 0.0000, 0.1313) (multiplicity 4)
O (0.0404, 0.2912, 0.2500) (multiplicity 6)
O (0.0954, 0.3808, 0.0561) (multiplicity 12)
O (0.3333, 0.6667, 0.1667) (multiplicity 4)
O (0.4203, 0.0869, 0.6533) (multiplicity 12)

The 12 most intense peaks (10° ≤ 2θ ≤ 90°), in order of rising 2θ:
| 2theta | Rel. int. |
| --- | --- |
| 16.33 | 32 |
| 17.62 | 24 |
| 26.56 | 65 |
| 28.82 | 100 |
| 29.85 | 43 |
| 33.68 | 51 |
| 36.32 | 51 |
| 42.66 | 13 |
| 50.42 | 40 |
| 54.14 | 24 |
| 57.89 | 41 |
| 58.38 | 20 |

---

[5]
GdTaO4: theoretical powder diffractogram (Cu Ka), based on a GGA-PBE-relaxed structure.
Intensities are scaled so that the largest is 100.

Structure:
Cell: 5.207 5.583 5.395 Å, 90.00 96.75 90.00°
Space group P2/c (No. 13)
Unique sites:
Gd (0.000, 0.233, 0.250) (multiplicity 2)
Ta (0.500, 0.311, 0.750) (multiplicity 2)
O (0.252, 0.090, 0.605) (multiplicity 4)
O (0.272, 0.435, 0.996) (multiplicity 4)

The 12 most intense peaks (10° ≤ 2θ ≤ 90°), in order of rising 2θ:
| 2theta | Rel. int. |
| --- | --- |
| 27.62 | 100 |
| 30.01 | 80 |
| 32.06 | 19 |
| 33.45 | 25 |
| 34.70 | 19 |
| 45.83 | 17 |
| 47.02 | 21 |
| 47.96 | 21 |
| 51.96 | 12 |
| 54.91 | 16 |
| 56.60 | 13 |
| 60.65 | 13 |

---

[6]
TbGdO3: theoretical powder diffractogram (Cu Ka), based on a GGA-PBE-relaxed structure.
Intensities are scaled so that the largest is 100.

Structure:
Cell: 6.033 8.490 5.784 Å, 90.00 90.00 90.00°
Space group Pnma (No. 62)
Unique sites:
Tb (0.000, 0.000, 0.000) (multiplicity 4)
Gd (0.048, 0.250, 0.489) (multiplicity 4)
O (0.080, 0.750, 0.146) (multiplicity 4)
O (0.180, 0.575, 0.677) (multiplicity 8)

The 12 most intense peaks (10° ≤ 2θ ≤ 90°), in order of rising 2θ:
| 2theta | Rel. int. |
| --- | --- |
| 29.61 | 22 |
| 30.02 | 100 |
| 30.92 | 22 |
| 42.59 | 12 |
| 43.34 | 19 |
| 52.77 | 27 |
| 53.55 | 11 |
| 54.43 | 23 |
| 62.39 | 11 |
| 70.23 | 9 |
| 71.33 | 8 |
| 86.90 | 6 |

---

[7]
Gd2Te4O11: theoretical powder diffractogram (Cu Ka), based on a GGA-PBE-relaxed structure.
Intensities are scaled so that the largest is 100.

Structure:
Cell: 12.610 5.225 16.431 Å, 90.00 105.12 90.00°
Space group C2/c (No. 15)
Unique sites:
Gd (0.119, 0.249, 0.038) (multiplicity 8)
Te (0.121, 0.223, 0.699) (multiplicity 8)
Te (0.129, 0.218, 0.374) (multiplicity 8)
O (0.000, 0.354, 0.750) (multiplicity 4)
O (0.025, 0.082, 0.598) (multiplicity 8)
O (0.070, 0.389, 0.454) (multiplicity 8)
O (0.148, 0.444, 0.168) (multiplicity 8)
O (0.208, 0.043, 0.947) (multiplicity 8)
O (0.248, 0.064, 0.628) (multiplicity 8)

The 12 most intense peaks (10° ≤ 2θ ≤ 90°), in order of rising 2θ:
| 2theta | Rel. int. |
| --- | --- |
| 26.33 | 100 |
| 29.35 | 32 |
| 29.47 | 67 |
| 33.24 | 21 |
| 34.33 | 18 |
| 40.60 | 15 |
| 45.77 | 22 |
| 48.30 | 18 |
| 48.53 | 18 |
| 53.51 | 14 |
| 53.96 | 14 |
| 54.19 | 12 |

---

[8]
Gd2Te4O11: theoretical powder diffractogram (Cu Ka), based on a GGA-PBE-relaxed structure.
Intensities are scaled so that the largest is 100.

Structure:
Cell: 5.225 6.825 16.202 Å, 79.82 80.72 67.49°
Space group P1 (No. 1)
Unique sites:
Gd (0.000, 0.000, 0.000) (multiplicity 1)
Gd (0.228, 0.110, 0.422) (multiplicity 1)
Gd (0.494, 0.512, 0.496) (multiplicity 1)
Gd (0.740, 0.597, 0.924) (multiplicity 1)
Te (0.025, 0.690, 0.332) (multiplicity 1)
Te (0.033, 0.346, 0.660) (multiplicity 1)
Te (0.268, 0.769, 0.759) (multiplicity 1)
Te (0.281, 0.413, 0.087) (multiplicity 1)
Te (0.459, 0.196, 0.833) (multiplicity 1)
Te (0.467, 0.847, 0.156) (multiplicity 1)
Te (0.710, 0.259, 0.264) (multiplicity 1)
Te (0.715, 0.928, 0.586) (multiplicity 1)
O (0.012, 0.052, 0.713) (multiplicity 1)
O (0.055, 0.612, 0.006) (multiplicity 1)
O (0.061, 0.178, 0.291) (multiplicity 1)
O (0.063, 0.669, 0.586) (multiplicity 1)
O (0.127, 0.274, 0.907) (multiplicity 1)
O (0.181, 0.181, 0.087) (multiplicity 1)
O (0.207, 0.771, 0.404) (multiplicity 1)
O (0.253, 0.264, 0.559) (multiplicity 1)
O (0.311, 0.854, 0.865) (multiplicity 1)
O (0.425, 0.749, 0.059) (multiplicity 1)
O (0.477, 0.347, 0.364) (multiplicity 1)
O (0.526, 0.841, 0.516) (multiplicity 1)
O (0.555, 0.432, 0.834) (multiplicity 1)
O (0.613, 0.339, 0.011) (multiplicity 1)
O (0.671, 0.427, 0.630) (multiplicity 1)
O (0.685, 0.937, 0.334) (multiplicity 1)
O (0.687, 0.999, 0.913) (multiplicity 1)
O (0.717, 0.556, 0.213) (multiplicity 1)
O (0.784, 0.929, 0.128) (multiplicity 1)
O (0.821, 0.120, 0.509) (multiplicity 1)
O (0.901, 0.498, 0.416) (multiplicity 1)
O (0.950, 0.678, 0.791) (multiplicity 1)

The 12 most intense peaks (10° ≤ 2θ ≤ 90°), in order of rising 2θ:
| 2theta | Rel. int. |
| --- | --- |
| 26.33 | 100 |
| 29.35 | 33 |
| 29.47 | 67 |
| 33.24 | 21 |
| 34.33 | 18 |
| 40.60 | 15 |
| 45.77 | 21 |
| 48.30 | 18 |
| 48.53 | 18 |
| 53.51 | 14 |
| 53.96 | 14 |
| 54.19 | 12 |